# 1
For Li2V3P5O18, a DFT-relaxed cell (PBE+U, Alexandria) gives the theoretical powder diffractogram in this record (CuKα).
Lines closer than 0.1° are merged.

Atomic structure:
```
Li2V3P5O18
1.0
13.0187 -2.4367 0.0000
13.0187 2.4367 0.0000
-0.3319 0.0000 12.6613
Li V P O
4 6 10 36
Direct
0.0298 0.3071 0.3716
0.3071 0.0298 0.8716
0.6929 0.9702 0.1284
0.9702 0.6929 0.6284
0.0000 0.0000 0.0000
0.0000 0.0000 0.5000
0.2639 0.3427 0.3775
0.3427 0.2639 0.8775
0.6573 0.7361 0.1225
0.7361 0.6573 0.6225
0.2070 0.3362 0.1269
0.2299 0.7701 0.2500
0.3362 0.2070 0.6269
0.4298 0.4340 0.4062
0.4340 0.4298 0.9062
0.5660 0.5702 0.0938
0.5702 0.5660 0.5938
0.6638 0.7930 0.3731
0.7701 0.2299 0.7500
0.7930 0.6638 0.8731
0.0548 0.8978 0.1570
0.1022 0.9452 0.3430
0.1134 0.3448 0.8781
0.1370 0.7388 0.9298
0.1754 0.2559 0.6282
0.2448 0.3599 0.5351
0.2559 0.1754 0.1282
0.2612 0.8630 0.5702
0.2618 0.3455 0.7240
0.2773 0.6326 0.4950
0.2882 0.4633 0.3832
0.3448 0.1134 0.3781
0.3455 0.2618 0.2240
0.3599 0.2448 0.0351
0.3674 0.7227 0.0050
0.3979 0.5176 0.2935
0.4633 0.2882 0.8832
0.4824 0.6021 0.2065
0.5176 0.3979 0.7935
0.5367 0.7118 0.1168
0.6021 0.4824 0.7065
0.6326 0.2773 0.9950
0.6401 0.7552 0.9649
0.6545 0.7382 0.7760
0.6552 0.8866 0.6219
0.7118 0.5367 0.6168
0.7227 0.3674 0.5050
0.7382 0.6545 0.2760
0.7388 0.1370 0.4298
0.7441 0.8246 0.8718
0.7552 0.6401 0.4649
0.8246 0.7441 0.3718
0.8630 0.2612 0.0702
0.8866 0.6552 0.1219
0.8978 0.0548 0.6570
0.9452 0.1022 0.8430
```

Principal peaks in the range 15 to 90 degrees two-theta, low angle first:
two_theta  intensity
15.4  885
20.9  1000
25.4  442
28.9  575
30.2  605
36.9  310

---

# 2
For Li3V2P5O18, a DFT-relaxed cell (PBE+U, Alexandria) gives the theoretical powder diffractogram in this record (CuKα).
Lines closer than 0.1° are merged.

Atomic structure:
```
Li3V2P5O18
1.0
6.3547 0.0000 0.0000
-0.0826 9.5964 0.0000
-0.4796 -1.9036 10.8641
Li V P O
6 4 10 36
Direct
0.0105 0.3985 0.1352
0.1145 0.6989 0.6766
0.4770 0.2411 0.3641
0.5230 0.7589 0.6359
0.8855 0.3011 0.3234
0.9895 0.6015 0.8648
0.2150 0.8368 0.4270
0.3242 0.2744 0.9401
0.6758 0.7256 0.0599
0.7850 0.1632 0.5730
0.1664 0.7871 0.1167
0.1950 0.0995 0.1522
0.2345 0.5132 0.3892
0.2818 0.0855 0.6407
0.4803 0.5389 0.8079
0.5197 0.4611 0.1921
0.7182 0.9145 0.3593
0.7655 0.4868 0.6108
0.8050 0.9005 0.8478
0.8336 0.2129 0.8833
0.0112 0.1962 0.1769
0.0140 0.3097 0.9484
0.0315 0.4821 0.3130
0.0826 0.1360 0.5693
0.1071 0.9403 0.0937
0.1770 0.7859 0.2550
0.2184 0.6625 0.4825
0.2618 0.9201 0.6054
0.2809 0.1403 0.7777
0.3083 0.1351 0.0345
0.3143 0.3978 0.4536
0.3255 0.4390 0.8571
0.3337 0.4145 0.0966
0.3422 0.0849 0.2589
0.3707 0.7366 0.0590
0.3765 0.6594 0.7595
0.4124 0.5619 0.3025
0.4858 0.1336 0.5833
0.5142 0.8664 0.4167
0.5876 0.4381 0.6975
0.6235 0.3406 0.2405
0.6293 0.2634 0.9410
0.6578 0.9151 0.7411
0.6663 0.5855 0.9034
0.6745 0.5610 0.1429
0.6857 0.6022 0.5464
0.6917 0.8649 0.9655
0.7191 0.8597 0.2223
0.7382 0.0799 0.3946
0.7816 0.3375 0.5175
0.8230 0.2141 0.7450
0.8929 0.0597 0.9063
0.9174 0.8640 0.4307
0.9685 0.5179 0.6870
0.9860 0.6903 0.0516
0.9888 0.8038 0.8231
```

Principal peaks in the range 15 to 90 degrees two-theta, low angle first:
two_theta  intensity
18.2  642
19.0  674
19.1  817
27.1  607
28.1  1000
30.2  575

---

# 3
For LiV2P2O9, a DFT-relaxed cell (PBE+U, Alexandria) gives the theoretical powder diffractogram in this record (CuKα).
Lines closer than 0.1° are merged.

Atomic structure:
```
LiV2P2O9
1.0
13.9394 0.0000 0.0000
0.0000 6.3809 0.0000
0.0000 0.0000 7.7339
Li V P O
4 8 8 36
Direct
0.2362 0.2500 0.0436
0.2638 0.7500 0.5436
0.7362 0.2500 0.4564
0.7638 0.7500 0.9564
0.0000 0.0000 0.0000
0.0000 0.5000 0.0000
0.1183 0.2500 0.6498
0.3817 0.7500 0.1498
0.5000 0.0000 0.5000
0.5000 0.5000 0.5000
0.6183 0.2500 0.8502
0.8817 0.7500 0.3502
0.0638 0.7500 0.6490
0.1930 0.7500 0.1130
0.3070 0.2500 0.6130
0.4362 0.2500 0.1490
0.5638 0.7500 0.8510
0.6930 0.7500 0.3870
0.8070 0.2500 0.8870
0.9362 0.2500 0.3510
0.0163 0.2500 0.4844
0.0168 0.7500 0.8338
0.0521 0.2500 0.8525
0.1309 0.5599 0.6346
0.1309 0.9401 0.6346
0.1322 0.5473 0.0930
0.1322 0.9527 0.0930
0.2241 0.2500 0.4776
0.2491 0.2500 0.7853
0.2509 0.7500 0.2853
0.2759 0.7500 0.9776
0.3678 0.0473 0.5930
0.3678 0.4527 0.5930
0.3691 0.0599 0.1346
0.3691 0.4401 0.1346
0.4479 0.7500 0.3525
0.4832 0.2500 0.3338
0.4837 0.7500 0.9844
0.5163 0.2500 0.0156
0.5168 0.7500 0.6662
0.5521 0.2500 0.6475
0.6309 0.5599 0.8654
0.6309 0.9401 0.8654
0.6322 0.5473 0.4070
0.6322 0.9527 0.4070
0.7241 0.2500 0.0224
0.7491 0.2500 0.7147
0.7509 0.7500 0.2147
0.7759 0.7500 0.5224
0.8678 0.0473 0.9070
0.8678 0.4527 0.9070
0.8691 0.0599 0.3654
0.8691 0.4401 0.3654
0.9479 0.7500 0.1475
0.9832 0.2500 0.1662
0.9837 0.7500 0.5156
```

Principal peaks in the range 15 to 90 degrees two-theta, low angle first:
two_theta  intensity
17.1  810
18.0  320
19.1  579
22.1  517
23.9  1000
31.0  662

---

# 4
For Li4VP6O18, a DFT-relaxed cell (PBE+U, Alexandria) gives the theoretical powder diffractogram in this record (CuKα).
Lines closer than 0.1° are merged.

Atomic structure:
```
Li4VP6O18
1.0
7.3447 0.0000 0.0000
-3.0452 6.9638 0.0000
-2.1297 -3.2950 7.5468
Li V P O
4 1 6 18
Direct
0.0000 0.0000 0.0000
0.0737 0.5115 0.5008
0.2498 0.9629 0.7917
0.8307 0.5850 0.7439
0.6628 0.1179 0.4632
0.1138 0.3518 0.8350
0.2731 0.7672 0.0832
0.4086 0.3823 0.4107
0.4815 0.7038 0.8494
0.6143 0.3230 0.1719
0.7853 0.7349 0.4322
0.0705 0.1482 0.8477
0.1264 0.8133 0.9611
0.1594 0.5155 0.0258
0.1885 0.3401 0.3943
0.3428 0.4579 0.8174
0.3459 0.8717 0.2790
0.3531 0.7493 0.7143
0.3954 0.2718 0.2135
0.4880 0.8170 0.0424
0.5402 0.3290 0.5398
0.5439 0.2167 0.9783
0.5567 0.6285 0.4527
0.7071 0.7512 0.8729
0.7287 0.5769 0.2342
0.7595 0.2834 0.3030
0.8225 0.9409 0.4281
0.9462 0.3610 0.6946
0.9546 0.7247 0.5680
```

Principal peaks in the range 15 to 90 degrees two-theta, low angle first:
two_theta  intensity
18.5  894
23.6  401
24.5  603
25.0  1000
27.7  370
28.0  472